(1)
Starting from a DFT-relaxed cell (PBE, Alexandria), the powder X-ray diffraction pattern of PuCuOs was simulated for CuKα.

Peak list (10 most intense, 10° ≤ 2θ ≤ 80°, most intense first)
2θ 39.78, d 2.266, I = 1000; 2θ 33.87, d 2.647, I = 696; 2θ 39.43, d 2.286, I = 567; 2θ 42.58, d 2.123, I = 392; 2θ 71.26, d 1.323, I = 359; 2θ 37.24, d 2.415, I = 306; 2θ 40.48, d 2.228, I = 284; 2θ 19.92, d 4.457, I = 228; 2θ 38.45, d 2.341, I = 221; 2θ 68.85, d 1.364, I = 205

Cell and atoms:
Lattice parameters (Å, degrees): 4.829 5.436 7.784 90.00 90.00 90.00
Positions (direct):
Pu 0.000 0.250 0.129
Pu 0.000 0.750 0.871
Pu 0.500 0.250 0.371
Pu 0.500 0.750 0.629
Cu 0.250 0.250 0.750
Cu 0.250 0.750 0.250
Cu 0.750 0.250 0.750
Cu 0.750 0.750 0.250
Os 0.000 0.000 0.500
Os 0.000 0.500 0.500
Os 0.500 0.000 0.000
Os 0.500 0.500 0.000

(2)
Starting from a DFT-relaxed cell (PBE, Alexandria), the powder X-ray diffraction pattern of Li2Ac3Tl4 was simulated for CuKα.

Peak list (10 most intense, 10° ≤ 2θ ≤ 80°, most intense first)
2θ 30.38, d 2.942, I = 1000; 2θ 34.55, d 2.596, I = 902; 2θ 30.06, d 2.973, I = 750; 2θ 34.73, d 2.583, I = 464; 2θ 46.84, d 1.939, I = 330; 2θ 59.38, d 1.557, I = 310; 2θ 59.59, d 1.551, I = 307; 2θ 29.84, d 2.994, I = 293; 2θ 24.91, d 3.575, I = 280; 2θ 19.06, d 4.656, I = 200

Cell and atoms:
Lattice parameters (Å, degrees): 6.466 6.466 9.904 112.71 112.71 47.09
Positions (direct):
Li 0.108 0.108 0.279
Li 0.892 0.892 0.721
Ac 0.165 0.165 0.658
Ac 0.500 0.500 0.000
Ac 0.835 0.835 0.342
Tl 0.234 0.234 0.084
Tl 0.451 0.451 0.629
Tl 0.549 0.549 0.371
Tl 0.766 0.766 0.916

(3)
Starting from a DFT-relaxed cell (PBE, Alexandria), the powder X-ray diffraction pattern of Y2Mg3Pd4 was simulated for CuKα.

Peak list (10 most intense, 10° ≤ 2θ ≤ 80°, most intense first)
2θ 39.17, d 2.300, I = 1000; 2θ 33.81, d 2.651, I = 821; 2θ 34.92, d 2.569, I = 760; 2θ 37.45, d 2.401, I = 712; 2θ 32.80, d 2.731, I = 345; 2θ 24.93, d 3.571, I = 341; 2θ 41.09, d 2.197, I = 335; 2θ 25.42, d 3.503, I = 310; 2θ 35.27, d 2.544, I = 269; 2θ 38.13, d 2.360, I = 243

Cell and atoms:
Lattice parameters (Å, degrees): 8.613 8.613 7.542 90.00 90.00 140.61
Positions (direct):
Y 0.104 0.896 0.911
Y 0.396 0.604 0.411
Y 0.604 0.396 0.589
Y 0.896 0.104 0.089
Mg 0.000 0.000 0.500
Mg 0.023 0.477 0.750
Mg 0.477 0.023 0.250
Mg 0.500 0.500 0.000
Mg 0.523 0.977 0.750
Mg 0.977 0.523 0.250
Pd 0.169 0.831 0.534
Pd 0.187 0.313 0.750
Pd 0.313 0.187 0.250
Pd 0.331 0.669 0.034
Pd 0.669 0.331 0.966
Pd 0.687 0.813 0.750
Pd 0.813 0.687 0.250
Pd 0.831 0.169 0.466

(4)
Starting from a DFT-relaxed cell (PBE, Alexandria), the powder X-ray diffraction pattern of Zr2NiBi was simulated for CuKα.

Peak list (10 most intense, 10° ≤ 2θ ≤ 80°, most intense first)
2θ 34.17, d 2.624, I = 1000; 2θ 33.34, d 2.687, I = 910; 2θ 48.49, d 1.878, I = 672; 2θ 30.20, d 2.959, I = 503; 2θ 47.87, d 1.900, I = 287; 2θ 66.93, d 1.398, I = 258; 2θ 38.56, d 2.335, I = 208; 2θ 70.51, d 1.336, I = 191; 2θ 18.82, d 4.716, I = 189; 2θ 60.12, d 1.539, I = 161

Cell and atoms:
Lattice parameters (Å, degrees): 7.601 7.601 6.013 90.00 90.00 90.00
Positions (direct):
Zr 0.201 0.250 0.125
Zr 0.250 0.701 0.375
Zr 0.250 0.799 0.875
Zr 0.299 0.250 0.625
Zr 0.701 0.750 0.625
Zr 0.750 0.201 0.875
Zr 0.750 0.299 0.375
Zr 0.799 0.750 0.125
Ni 0.000 0.000 0.000
Ni 0.000 0.500 0.250
Ni 0.500 0.000 0.750
Ni 0.500 0.500 0.500
Bi 0.000 0.000 0.500
Bi 0.000 0.500 0.750
Bi 0.500 0.000 0.250
Bi 0.500 0.500 0.000